CrSe2O6F2: computed powder diffractogram (a wavelength of 1.5418 Å), based on a GGA+U-relaxed structure.
Peak positions follow from Bragg's law for the DFT cell and can differ from measured ones.

Structure:
```
data_CrSe2O6F2
_chemical_formula_sum 'Cr1 Se2 O6 F2'
_symmetry_space_group_name_H-M 'P -3'
_symmetry_Int_Tables_number 147
_cell_length_a 5.3480
_cell_length_b 5.3480
_cell_length_c 7.1883
_cell_angle_alpha 90.00
_cell_angle_beta 90.00
_cell_angle_gamma 120.00
loop_
_symmetry_equiv_pos_as_xyz
'x,y,z'
'-x,-y,-z'
'-y,x-y,z'
'y,-x+y,-z'
'-x+y,-x,z'
'x-y,x,-z'
loop_
_atom_site_label
_atom_site_fract_x
_atom_site_fract_y
_atom_site_fract_z
Cr1 0.0000 0.0000 0.0000
Se1 0.3333 0.6667 0.7747
O1 0.0629 0.7238 0.8315
F1 0.3333 0.6667 0.5250
```

Main lines, by angle (2θ from 5° to 70°):
d = 7.188 Å, 12.31 deg, I 20, (0 0 1)
d = 3.893 Å, 22.84 deg, I 100, (1 0 1)
d = 2.839 Å, 31.51 deg, I 20, (1 0 2)
d = 2.674 Å, 33.51 deg, I 27, (1 1 0)
d = 2.204 Å, 40.94 deg, I 10, (0 2 1)
d = 2.128 Å, 42.48 deg, I 14, (0 1 3)
d = 1.701 Å, 53.91 deg, I 15, (2 1 1)
d = 1.665 Å, 55.16 deg, I 8, (2 0 3)
d = 1.544 Å, 59.91 deg, I 10, (3 0 0)
d = 1.492 Å, 62.24 deg, I 10, (1 1 4)